(1)
Calculated powder X-ray diffraction pattern of LaPrNi6B2Pd2 for Cu Kα (weighted mean of Kα1 and Kα2), from the GGA-PBE geometry in OQMD.
Intensities are scaled so that the largest is 100.

Top 10 peaks for 2θ = 5–70°, by angle:
2θ/deg, I (rel.)
31.8, 42
34.5, 36
36.8, 26
37.3, 20
40.1, 50
42.1, 15
42.9, 100
60.1, 13
62.6, 21
67.6, 25

Structure:
```
LaPrNi6B2Pd2
1.0
5.195 0.000 0.000
-2.598 4.499 0.000
0.000 0.000 7.231
La Pr Ni B Pd
1 1 6 2 2
Direct
0.000 0.000 0.000 La
0.000 0.000 0.500 Pr
0.000 0.500 0.193 Ni
0.000 0.500 0.807 Ni
0.500 0.000 0.193 Ni
0.500 0.000 0.807 Ni
0.500 0.500 0.193 Ni
0.500 0.500 0.807 Ni
0.333 0.667 0.000 B
0.667 0.333 0.000 B
0.333 0.667 0.500 Pd
0.667 0.333 0.500 Pd
```



(2)
Calculated powder X-ray diffraction pattern of Pr2Dy2CI2Br2Cl for Cu Kα (weighted mean of Kα1 and Kα2), from the GGA-PBE geometry in OQMD.
Intensities are scaled so that the largest is 100.

Top 10 peaks for 2θ = 5–70°, by angle:
2θ/deg, I (rel.)
11.0, 69
28.8, 37
31.4, 100
32.5, 20
33.1, 39
33.3, 17
43.0, 24
43.2, 21
43.9, 16
46.0, 18

Structure:
```
Pr2Dy2CI2Br2Cl
1.0
9.498 -1.974 0.000
9.498 1.974 0.000
-1.740 0.000 8.065
Pr Dy C I Br Cl
2 2 1 2 2 1
Direct
0.000 0.000 0.215 Pr
0.000 0.000 0.785 Pr
0.370 0.370 0.931 Dy
0.630 0.630 0.069 Dy
0.500 0.500 0.000 C
0.173 0.173 0.819 I
0.827 0.827 0.181 I
0.162 0.162 0.327 Br
0.838 0.838 0.673 Br
0.500 0.500 0.500 Cl
```



(3)
Calculated powder X-ray diffraction pattern of Au3F8 for Cu Kα (weighted mean of Kα1 and Kα2), from the GGA-PBE geometry in OQMD.
Intensities are scaled so that the largest is 100.

Top 10 peaks for 2θ = 5–70°, by angle:
2θ/deg, I (rel.)
24.3, 59
24.6, 46
25.4, 68
25.7, 36
30.0, 100
31.1, 36
32.4, 32
37.3, 25
40.7, 21
45.6, 35

Structure:
```
Au3F8
1.0
4.947 0.000 0.000
0.000 10.624 0.000
-4.886 0.000 5.532
Au F
6 16
Direct
0.000 0.000 0.000 Au
0.000 0.500 0.500 Au
0.225 0.179 0.543 Au
0.225 0.321 0.043 Au
0.775 0.679 0.957 Au
0.775 0.821 0.457 Au
0.088 0.729 0.764 F
0.088 0.771 0.264 F
0.116 0.016 0.384 F
0.116 0.484 0.884 F
0.375 0.155 0.211 F
0.375 0.345 0.711 F
0.469 0.596 0.633 F
0.469 0.904 0.133 F
0.531 0.096 0.867 F
0.531 0.404 0.367 F
0.625 0.655 0.289 F
0.625 0.845 0.789 F
0.884 0.516 0.116 F
0.884 0.984 0.616 F
0.912 0.229 0.736 F
0.912 0.271 0.236 F
```



(4)
Calculated powder X-ray diffraction pattern of Pr4CICl4 for Cu Kα (weighted mean of Kα1 and Kα2), from the GGA-PBE geometry in OQMD.
Intensities are scaled so that the largest is 100.

Top 10 peaks for 2θ = 5–70°, by angle:
2θ/deg, I (rel.)
10.3, 100
16.3, 15
20.5, 18
27.6, 21
30.0, 76
30.4, 26
31.0, 33
32.8, 14
43.7, 42
45.2, 14

Structure:
```
Pr4CICl4
1.0
8.937 -2.007 0.000
8.937 2.007 0.000
-2.235 0.000 8.604
Pr C I Cl
4 1 1 4
Direct
0.001 0.001 0.304 Pr
0.354 0.354 0.421 Pr
0.646 0.646 0.579 Pr
0.999 0.999 0.696 Pr
0.500 0.500 0.500 C
0.500 0.500 0.000 I
0.165 0.165 0.811 Cl
0.171 0.171 0.360 Cl
0.829 0.829 0.640 Cl
0.835 0.835 0.189 Cl
```



(5)
Calculated powder X-ray diffraction pattern of KOsSeO for Cu Kα (weighted mean of Kα1 and Kα2), from the GGA-PBE geometry in OQMD.
Intensities are scaled so that the largest is 100.

Top 10 peaks for 2θ = 5–70°, by angle:
2θ/deg, I (rel.)
12.6, 100
28.6, 10
31.8, 9
32.6, 31
34.9, 23
38.2, 29
44.0, 10
50.8, 12
52.7, 10
54.5, 10

Structure:
```
KOsSeO
1.0
7.358 0.000 0.000
0.000 6.300 0.000
-2.021 0.000 6.241
K Os Se O
4 4 4 4
Direct
0.098 0.249 0.039 K
0.098 0.251 0.539 K
0.902 0.749 0.461 K
0.902 0.751 0.961 K
0.476 0.614 0.761 Os
0.476 0.886 0.261 Os
0.524 0.114 0.739 Os
0.524 0.386 0.239 Os
0.292 0.615 0.373 Se
0.292 0.885 0.873 Se
0.708 0.115 0.127 Se
0.708 0.385 0.627 Se
0.375 0.134 0.390 O
0.375 0.366 0.890 O
0.625 0.634 0.110 O
0.625 0.866 0.610 O
```



(6)
Calculated powder X-ray diffraction pattern of Pr3CdPt8 for Cu Kα (weighted mean of Kα1 and Kα2), from the GGA-PBE geometry in OQMD.
Intensities are scaled so that the largest is 100.

Top 10 peaks for 2θ = 5–70°, by angle:
2θ/deg, I (rel.)
19.8, 20
32.5, 17
38.4, 100
40.1, 53
46.7, 11
51.2, 6
58.1, 6
61.6, 1
62.0, 32
68.2, 30

Structure:
```
Pr3CdPt8
1.0
2.750 1.588 8.995
-2.750 1.588 8.995
0.000 -3.176 8.995
Pr Cd Pt
3 1 8
Direct
0.000 0.000 0.000 Pr
0.128 0.128 0.128 Pr
0.616 0.616 0.616 Pr
0.493 0.493 0.493 Cd
0.059 0.059 0.564 Pt
0.059 0.564 0.059 Pt
0.060 0.560 0.560 Pt
0.310 0.310 0.310 Pt
0.560 0.060 0.560 Pt
0.560 0.560 0.060 Pt
0.564 0.059 0.059 Pt
0.811 0.811 0.811 Pt
```



(7)
Calculated powder X-ray diffraction pattern of PmAgTeO for Cu Kα (weighted mean of Kα1 and Kα2), from the GGA-PBE geometry in OQMD.
Intensities are scaled so that the largest is 100.

Top 10 peaks for 2θ = 5–70°, by angle:
2θ/deg, I (rel.)
28.0, 100
31.9, 49
34.7, 56
35.6, 53
43.7, 53
45.6, 19
48.0, 23
52.7, 34
56.9, 27
65.0, 26

Structure:
```
PmAgTeO
1.0
5.857 0.000 0.000
0.000 9.948 0.000
0.000 0.000 5.857
Pm Ag Te O
4 4 4 4
Direct
0.000 0.112 0.250 Pm
0.000 0.888 0.750 Pm
0.500 0.112 0.750 Pm
0.500 0.888 0.250 Pm
0.250 0.500 0.009 Ag
0.250 0.500 0.509 Ag
0.750 0.500 0.491 Ag
0.750 0.500 0.991 Ag
0.000 0.294 0.750 Te
0.000 0.706 0.250 Te
0.500 0.294 0.250 Te
0.500 0.706 0.750 Te
0.250 0.000 0.000 O
0.250 0.000 0.500 O
0.750 0.000 0.000 O
0.750 0.000 0.500 O
```



(8)
Calculated powder X-ray diffraction pattern of TlNi8 for Cu Kα (weighted mean of Kα1 and Kα2), from the GGA-PBE geometry in OQMD.
Intensities are scaled so that the largest is 100.

Top 10 peaks for 2θ = 5–70°, by angle:
2θ/deg, I (rel.)
6.2, 100
9.3, 25
12.4, 25
28.6, 26
30.7, 24
42.6, 56
44.5, 57
45.1, 37
45.4, 46
52.3, 30

Structure:
```
TlNi8
1.0
3.883 -1.752 0.000
3.883 1.752 0.000
-0.070 0.000 28.458
Tl Ni
2 16
Direct
0.050 0.050 0.245 Tl
0.950 0.950 0.755 Tl
0.050 0.050 0.541 Ni
0.149 0.149 0.348 Ni
0.150 0.150 0.623 Ni
0.248 0.248 0.705 Ni
0.250 0.250 0.431 Ni
0.350 0.350 0.514 Ni
0.448 0.448 0.322 Ni
0.449 0.449 0.596 Ni
0.551 0.551 0.404 Ni
0.552 0.552 0.678 Ni
0.650 0.650 0.486 Ni
0.750 0.750 0.569 Ni
0.752 0.752 0.295 Ni
0.850 0.850 0.377 Ni
0.851 0.851 0.652 Ni
0.950 0.950 0.459 Ni
```



(9)
Calculated powder X-ray diffraction pattern of Li5Pd2 for Cu Kα (weighted mean of Kα1 and Kα2), from the GGA-PBE geometry in OQMD.
Intensities are scaled so that the largest is 100.

Top 10 peaks for 2θ = 5–70°, by angle:
2θ/deg, I (rel.)
24.7, 100
26.0, 41
28.4, 24
34.1, 22
41.6, 42
42.6, 39
45.8, 18
49.8, 14
52.0, 26
61.0, 13

Structure:
```
Li5Pd2
1.0
2.124 1.226 6.277
-2.124 1.226 6.277
0.000 -2.453 6.277
Li Pd
5 2
Direct
0.000 0.000 0.000 Li
0.145 0.145 0.145 Li
0.286 0.286 0.286 Li
0.714 0.714 0.714 Li
0.855 0.855 0.855 Li
0.428 0.428 0.428 Pd
0.572 0.572 0.572 Pd
```



(10)
Calculated powder X-ray diffraction pattern of TmAl2Ga2Ni for Cu Kα (weighted mean of Kα1 and Kα2), from the GGA-PBE geometry in OQMD.
Intensities are scaled so that the largest is 100.

Top 10 peaks for 2θ = 5–70°, by angle:
2θ/deg, I (rel.)
26.7, 23
28.3, 20
31.4, 21
35.4, 100
35.9, 23
37.2, 37
38.2, 32
39.6, 37
44.9, 29
60.4, 20

Structure:
```
TmAl2Ga2Ni
1.0
2.019 -7.548 0.000
2.019 7.548 0.000
0.000 0.000 6.677
Tm Al Ga Ni
2 4 4 2
Direct
0.119 0.881 0.750 Tm
0.881 0.119 0.250 Tm
0.312 0.688 0.553 Al
0.312 0.688 0.947 Al
0.688 0.312 0.053 Al
0.688 0.312 0.447 Al
0.072 0.928 0.250 Ga
0.500 0.500 0.000 Ga
0.500 0.500 0.500 Ga
0.928 0.072 0.750 Ga
0.227 0.773 0.250 Ni
0.773 0.227 0.750 Ni
```



(11)
Calculated powder X-ray diffraction pattern of YHoTlCo2 for Cu Kα (weighted mean of Kα1 and Kα2), from the GGA-PBE geometry in OQMD.
Intensities are scaled so that the largest is 100.

Top 10 peaks for 2θ = 5–70°, by angle:
2θ/deg, I (rel.)
30.2, 45
33.7, 100
34.5, 71
38.4, 19
39.8, 33
47.2, 20
47.6, 20
57.1, 32
60.2, 29
63.4, 17

Structure:
```
YHoTlCo2
1.0
3.854 0.000 0.000
0.000 3.818 0.000
0.000 0.000 14.053
Y Ho Tl Co
2 2 2 4
Direct
0.000 0.000 0.000 Y
0.000 0.500 0.500 Y
0.000 0.000 0.278 Ho
0.000 0.500 0.778 Ho
0.500 0.000 0.639 Tl
0.500 0.500 0.139 Tl
0.500 0.000 0.430 Co
0.500 0.000 0.843 Co
0.500 0.500 0.343 Co
0.500 0.500 0.930 Co
```



(12)
Calculated powder X-ray diffraction pattern of CsSm2Cu3S5 for Cu Kα (weighted mean of Kα1 and Kα2), from the GGA-PBE geometry in OQMD.
Intensities are scaled so that the largest is 100.

Top 10 peaks for 2θ = 5–70°, by angle:
2θ/deg, I (rel.)
25.7, 64
27.9, 100
29.7, 52
31.1, 53
31.3, 64
36.1, 51
38.9, 53
40.4, 36
45.2, 42
47.6, 48

Structure:
```
CsSm2Cu3S5
1.0
2.005 -7.085 0.000
2.005 7.085 0.000
0.000 0.000 17.137
Cs Sm Cu S
2 4 6 10
Direct
0.063 0.937 0.750 Cs
0.937 0.063 0.250 Cs
0.192 0.808 0.091 Sm
0.192 0.808 0.409 Sm
0.808 0.192 0.591 Sm
0.808 0.192 0.909 Sm
0.340 0.660 0.750 Cu
0.416 0.584 0.035 Cu
0.416 0.584 0.465 Cu
0.584 0.416 0.535 Cu
0.584 0.416 0.965 Cu
0.660 0.340 0.250 Cu
0.166 0.834 0.569 S
0.166 0.834 0.931 S
0.229 0.771 0.250 S
0.441 0.559 0.607 S
0.441 0.559 0.893 S
0.559 0.441 0.107 S
0.559 0.441 0.393 S
0.771 0.229 0.750 S
0.834 0.166 0.069 S
0.834 0.166 0.431 S
```



(13)
Calculated powder X-ray diffraction pattern of BeZn2CoCu4 for Cu Kα (weighted mean of Kα1 and Kα2), from the GGA-PBE geometry in OQMD.
Intensities are scaled so that the largest is 100.

Top 10 peaks for 2θ = 5–70°, by angle:
2θ/deg, I (rel.)
14.6, 2
22.8, 4
27.2, 9
32.4, 2
35.8, 4
44.4, 100
46.5, 44
54.7, 3
61.3, 10
67.9, 13

Structure:
```
BeZn2CoCu4
1.0
3.902 0.000 0.000
0.000 3.902 0.000
0.000 0.000 6.051
Be Zn Co Cu
1 2 1 4
Direct
0.000 0.000 0.000 Be
0.000 0.000 0.500 Zn
0.500 0.500 0.000 Zn
0.500 0.500 0.500 Co
0.000 0.500 0.240 Cu
0.000 0.500 0.760 Cu
0.500 0.000 0.240 Cu
0.500 0.000 0.760 Cu
```